Starting from a structure optimized by DFT (PBE), the XRD peak list of TbDyIr2 was computed for Cu Kα (λ = 1.5418 Å).
Intensities are scaled so that the largest is 100.

Cell and atoms:
a = 6.871 Å, b = 6.871 Å, c = 6.871 Å
α = 90.00°, β = 90.00°, γ = 90.00°
Space group Fm-3m (No. 225)
Symmetry-distinct sites (fractional):
Tb 0.000 0.000 0.000 (multiplicity 4)
Dy 0.000 0.000 0.500 (multiplicity 4)
Ir 0.250 0.250 0.250 (multiplicity 8)

Most intense lines, 2θ = 10–90°, in order of rising 2θ:
2θ = 25.93°, rel. 1; 2θ = 37.00°, rel. 100; 2θ = 53.33°, rel. 18; 2θ = 66.69°, rel. 36; 2θ = 78.79°, rel. 11

Starting from a structure optimized by DFT (PBE), the XRD peak list of Na3CuBAsO7 was computed for Cu Kα (λ = 1.5418 Å).
Intensities are scaled so that the largest is 100.

Cell and atoms:
a = 5.284 Å, b = 6.606 Å, c = 9.172 Å
α = 90.00°, β = 91.37°, γ = 90.00°
Space group P2_1/m (No. 11)
Symmetry-distinct sites (fractional):
Na 0.241 0.250 0.079 (multiplicity 2)
Na 0.245 0.000 0.749 (multiplicity 4)
Cu 0.221 0.750 0.334 (multiplicity 2)
B 0.266 0.750 0.062 (multiplicity 2)
As 0.299 0.250 0.424 (multiplicity 2)
O 0.035 0.750 0.131 (multiplicity 2)
O 0.151 0.250 0.586 (multiplicity 2)
O 0.215 0.051 0.308 (multiplicity 4)
O 0.290 0.750 0.916 (multiplicity 2)
O 0.376 0.750 0.545 (multiplicity 2)
O 0.473 0.750 0.159 (multiplicity 2)

Most intense lines, 2θ = 10–90°, in order of rising 2θ:
2θ = 19.19°, rel. 52; 2θ = 23.81°, rel. 36; 2θ = 25.42°, rel. 56; 2θ = 26.99°, rel. 100; 2θ = 29.39°, rel. 49; 2θ = 33.33°, rel. 59; 2θ = 33.47°, rel. 75; 2θ = 33.58°, rel. 31; 2θ = 33.94°, rel. 78; 2θ = 36.93°, rel. 28; 2θ = 48.33°, rel. 26; 2θ = 55.65°, rel. 32

Starting from a structure optimized by DFT (PBE), the XRD peak list of LiPr2Pa2O8 was computed for Cu Kα (λ = 1.5418 Å).
Intensities are scaled so that the largest is 100.

Cell and atoms:
a = 5.582 Å, b = 5.630 Å, c = 6.801 Å
α = 114.38°, β = 114.21°, γ = 90.07°
Space group P1 (No. 1)
Symmetry-distinct sites (fractional):
Li 0.000 0.000 0.000 (multiplicity 1)
Pr 0.728 0.727 0.455 (multiplicity 1)
Pr 0.991 0.490 0.981 (multiplicity 1)
Pa 0.255 0.253 0.508 (multiplicity 1)
Pa 0.491 0.990 0.981 (multiplicity 1)
O 0.130 0.110 0.734 (multiplicity 1)
O 0.130 0.622 0.733 (multiplicity 1)
O 0.356 0.336 0.224 (multiplicity 1)
O 0.357 0.885 0.223 (multiplicity 1)
O 0.605 0.109 0.733 (multiplicity 1)
O 0.605 0.622 0.734 (multiplicity 1)
O 0.869 0.337 0.224 (multiplicity 1)
O 0.870 0.886 0.224 (multiplicity 1)

Most intense lines, 2θ = 10–90°, in order of rising 2θ:
2θ = 27.69°, rel. 100; 2θ = 31.79°, rel. 12; 2θ = 32.07°, rel. 12; 2θ = 32.38°, rel. 11; 2θ = 45.78°, rel. 18; 2θ = 46.01°, rel. 17; 2θ = 46.22°, rel. 17; 2θ = 54.16°, rel. 16; 2θ = 54.53°, rel. 16; 2θ = 54.93°, rel. 14; 2θ = 57.18°, rel. 10; 2θ = 74.37°, rel. 6